1.
Theoretical powder diffractogram
Compound: Y3Mg2WS8
Radiation: λ = 1.5418 Å (Cu Kα)
Structure: the GGA-PBE geometry in Alexandria
Kinematic intensities with the Lorentz-polarization factor, no thermal factor.

Cell and atoms:
```
Y3Mg2WS8
1.0
3.917 2.262 6.217
-3.917 2.262 6.217
0.000 -4.524 6.217
Y Mg W S
3 2 1 8
Direct
0.000 0.500 0.500
0.500 0.000 0.500
0.500 0.500 0.000
0.126 0.126 0.126
0.874 0.874 0.874
0.500 0.500 0.500
0.255 0.255 0.255
0.267 0.267 0.732
0.267 0.732 0.267
0.268 0.733 0.733
0.732 0.267 0.267
0.733 0.268 0.733
0.733 0.733 0.268
0.745 0.745 0.745
```

Top 12 peaks for 10 to 90 degrees two-theta, by angle:
two_theta, I (rel.)
13.89, 100
26.90, 55
27.28, 29
32.64, 83
35.33, 12
42.53, 16
42.79, 24
46.35, 39
47.31, 37
57.84, 14
77.15, 12
86.65, 12

2.
Theoretical powder diffractogram
Compound: Y2MgS
Radiation: λ = 1.5418 Å (Cu Kα)
Structure: the GGA-PBE geometry in Alexandria
Kinematic intensities with the Lorentz-polarization factor, no thermal factor.

Cell and atoms:
```
Y2MgS
1.0
1.885 1.088 8.554
-1.885 1.088 8.554
0.000 -2.176 8.554
Y Mg S
2 1 1
Direct
0.000 0.000 0.000
0.207 0.207 0.207
0.771 0.771 0.771
0.603 0.603 0.603
```

Top 12 peaks for 10 to 90 degrees two-theta, by angle:
two_theta, I (rel.)
10.34, 59
27.54, 30
28.21, 15
30.73, 42
31.37, 18
32.50, 100
39.38, 13
44.93, 30
48.28, 35
58.72, 17
59.42, 16
79.97, 14

3.
Theoretical powder diffractogram
Compound: MgZn2S3
Radiation: λ = 1.5418 Å (Cu Kα)
Structure: the GGA-PBE geometry in Alexandria
Kinematic intensities with the Lorentz-polarization factor, no thermal factor.

Cell and atoms:
```
MgZn2S3
1.0
-1.952 5.864 2.770
1.952 -5.864 2.770
1.952 5.864 -2.770
Mg Zn S
1 2 3
Direct
0.000 0.000 0.000
0.330 0.998 0.332
0.667 0.998 0.668
0.265 0.765 0.500
0.571 0.742 0.829
0.913 0.742 0.171
```

Top 12 peaks for 10 to 90 degrees two-theta, by angle:
two_theta, I (rel.)
15.11, 7
17.71, 9
27.95, 100
46.43, 53
46.53, 11
55.05, 27
55.15, 13
67.86, 6
74.83, 13
86.07, 7
86.15, 7
86.27, 7

4.
Theoretical powder diffractogram
Compound: Mg2Sb
Radiation: λ = 1.5418 Å (Cu Kα)
Structure: the GGA-PBE geometry in Alexandria
Kinematic intensities with the Lorentz-polarization factor, no thermal factor.

Cell and atoms:
```
Mg2Sb
1.0
5.121 0.000 0.000
-2.560 4.435 0.000
0.000 0.000 3.245
Mg Sb
2 1
Direct
0.333 0.667 0.000
0.667 0.333 0.000
0.000 0.000 0.500
```

Top 12 peaks for 10 to 90 degrees two-theta, by angle:
two_theta, I (rel.)
20.02, 80
34.24, 100
35.05, 65
40.69, 13
45.10, 10
49.81, 34
54.76, 11
62.35, 34
62.86, 11
68.46, 17
84.18, 15
89.74, 9

5.
Theoretical powder diffractogram
Compound: Mg7Sb
Radiation: λ = 1.5418 Å (Cu Kα)
Structure: the GGA-PBE geometry in Alexandria
Kinematic intensities with the Lorentz-polarization factor, no thermal factor.

Cell and atoms:
```
Mg7Sb
1.0
6.482 0.000 0.000
-3.241 5.614 0.000
0.000 0.000 5.078
Mg Sb
7 1
Direct
0.000 0.000 0.000
0.331 0.165 0.500
0.506 0.012 0.000
0.506 0.494 0.000
0.835 0.165 0.500
0.835 0.669 0.500
0.988 0.494 0.000
0.333 0.667 0.500
```

Top 12 peaks for 10 to 90 degrees two-theta, by angle:
two_theta, I (rel.)
15.79, 47
23.63, 43
27.52, 14
31.88, 31
32.78, 17
35.35, 24
36.58, 100
48.34, 19
56.81, 21
64.26, 18
68.72, 19
69.49, 14

6.
Theoretical powder diffractogram
Compound: MgSb5
Radiation: λ = 1.5418 Å (Cu Kα)
Structure: the GGA-PBE geometry in Alexandria
Kinematic intensities with the Lorentz-polarization factor, no thermal factor.

Cell and atoms:
```
MgSb5
1.0
2.582 -7.937 0.000
2.582 7.937 0.000
0.000 0.000 3.860
Mg Sb
1 5
Direct
0.000 0.000 0.000
0.157 0.843 0.500
0.337 0.663 0.000
0.500 0.500 0.500
0.663 0.337 0.000
0.843 0.157 0.500
```

Top 12 peaks for 10 to 90 degrees two-theta, by angle:
two_theta, I (rel.)
33.57, 100
33.88, 23
34.74, 23
47.09, 10
49.31, 16
59.27, 9
59.83, 9
60.42, 16
61.53, 17
70.56, 11
78.76, 8
82.13, 7

7.
Theoretical powder diffractogram
Compound: Mg7Sb
Radiation: λ = 1.5418 Å (Cu Kα)
Structure: the GGA-PBE geometry in Alexandria
Kinematic intensities with the Lorentz-polarization factor, no thermal factor.

Cell and atoms:
```
Mg7Sb
1.0
0.000 4.518 4.518
4.518 0.000 4.518
4.518 4.518 0.000
Mg Sb
7 1
Direct
0.000 0.000 0.000
0.000 0.000 0.500
0.000 0.500 0.000
0.000 0.500 0.500
0.500 0.000 0.000
0.500 0.000 0.500
0.500 0.500 0.000
0.500 0.500 0.500
```

Top 12 peaks for 10 to 90 degrees two-theta, by angle:
two_theta, I (rel.)
17.00, 56
19.65, 30
27.93, 26
32.88, 34
34.38, 100
39.91, 49
43.67, 15
44.86, 14
52.64, 12
57.72, 32
60.63, 11
68.94, 37

8.
Theoretical powder diffractogram
Compound: Mg5Sb3
Radiation: λ = 1.5418 Å (Cu Kα)
Structure: the GGA-PBE geometry in Alexandria
Kinematic intensities with the Lorentz-polarization factor, no thermal factor.

Cell and atoms:
```
Mg5Sb3
1.0
3.107 -7.870 0.000
3.107 7.870 0.000
-2.835 0.000 7.939
Mg Sb
10 6
Direct
0.036 0.589 0.644
0.068 0.425 0.990
0.130 0.130 0.197
0.233 0.395 0.645
0.411 0.964 0.356
0.512 0.227 0.803
0.575 0.932 0.010
0.605 0.767 0.355
0.773 0.488 0.197
0.870 0.870 0.803
0.070 0.930 0.500
0.162 0.838 0.000
0.481 0.519 0.000
0.572 0.428 0.500
0.658 0.015 0.684
0.985 0.342 0.316
```

Top 12 peaks for 10 to 90 degrees two-theta, by angle:
two_theta, I (rel.)
22.41, 93
22.76, 63
23.01, 62
23.15, 56
25.13, 93
25.26, 86
32.64, 88
33.34, 76
35.80, 55
36.02, 100
36.47, 69
44.15, 70

9.
Theoretical powder diffractogram
Compound: Mg2Sb
Radiation: λ = 1.5418 Å (Cu Kα)
Structure: the GGA-PBE geometry in Alexandria
Kinematic intensities with the Lorentz-polarization factor, no thermal factor.

Cell and atoms:
```
Mg2Sb
1.0
5.196 0.000 0.000
-2.598 4.500 0.000
0.000 0.000 6.108
Mg Sb
4 2
Direct
0.000 0.000 0.000
0.000 0.000 0.500
0.333 0.667 0.250
0.667 0.333 0.750
0.333 0.667 0.750
0.667 0.333 0.250
```

Top 12 peaks for 10 to 90 degrees two-theta, by angle:
two_theta, I (rel.)
19.73, 28
24.57, 100
29.24, 23
34.52, 91
35.52, 56
42.83, 23
45.85, 40
50.37, 20
56.13, 20
61.85, 16
62.50, 21
71.69, 21

10.
Theoretical powder diffractogram
Compound: Mg3Sb2
Radiation: λ = 1.5418 Å (Cu Kα)
Structure: the GGA-PBE geometry in Alexandria
Kinematic intensities with the Lorentz-polarization factor, no thermal factor.

Cell and atoms:
```
Mg3Sb2
1.0
4.603 0.000 0.000
-2.302 3.987 0.000
0.000 0.000 7.275
Mg Sb
3 2
Direct
0.000 0.000 0.000
0.333 0.667 0.368
0.667 0.333 0.632
0.333 0.667 0.775
0.667 0.333 0.225
```

Top 12 peaks for 10 to 90 degrees two-theta, by angle:
two_theta, I (rel.)
22.30, 33
24.47, 26
25.48, 100
33.35, 52
39.14, 53
43.69, 37
46.70, 27
47.28, 19
52.34, 14
60.09, 14
63.00, 16
74.08, 15

11.
Theoretical powder diffractogram
Compound: Mg3Sb2
Radiation: λ = 1.5418 Å (Cu Kα)
Structure: the GGA-PBE geometry in Alexandria
Kinematic intensities with the Lorentz-polarization factor, no thermal factor.

Cell and atoms:
```
Mg3Sb2
1.0
-6.712 6.712 6.712
6.712 -6.712 6.712
6.712 6.712 -6.712
Mg Sb
24 16
Direct
0.006 0.022 0.262
0.017 0.494 0.756
0.022 0.262 0.006
0.238 0.261 0.744
0.239 0.478 0.483
0.244 0.983 0.506
0.256 0.762 0.739
0.261 0.744 0.238
0.262 0.006 0.022
0.478 0.483 0.239
0.483 0.239 0.478
0.494 0.756 0.017
0.506 0.244 0.983
0.517 0.761 0.522
0.522 0.517 0.761
0.738 0.994 0.978
0.739 0.256 0.762
0.744 0.238 0.261
0.756 0.017 0.494
0.761 0.522 0.517
0.762 0.739 0.256
0.978 0.738 0.994
0.983 0.506 0.244
0.994 0.978 0.738
0.000 0.000 0.500
0.000 0.500 0.000
0.015 0.750 0.765
0.235 0.985 0.250
0.250 0.235 0.985
0.250 0.735 0.485
0.265 0.515 0.750
0.485 0.250 0.735
0.500 0.000 0.000
0.500 0.500 0.500
0.515 0.750 0.265
0.735 0.485 0.250
0.750 0.265 0.515
0.750 0.765 0.015
0.765 0.015 0.750
0.985 0.250 0.235
```

Top 12 peaks for 10 to 90 degrees two-theta, by angle:
two_theta, I (rel.)
22.95, 100
26.56, 24
37.91, 66
44.78, 46
46.89, 6
54.70, 10
60.08, 18
61.81, 8
68.48, 19
73.28, 12
81.04, 5
85.60, 11

12.
Theoretical powder diffractogram
Compound: MgSb5
Radiation: λ = 1.5418 Å (Cu Kα)
Structure: the GGA-PBE geometry in Alexandria
Kinematic intensities with the Lorentz-polarization factor, no thermal factor.

Cell and atoms:
```
MgSb5
1.0
6.685 -1.588 0.000
6.685 1.588 0.000
-3.073 0.000 8.049
Mg Sb
1 5
Direct
0.000 0.000 0.000
0.169 0.169 0.828
0.353 0.353 0.710
0.500 0.500 0.500
0.647 0.647 0.290
0.831 0.831 0.172
```

Top 12 peaks for 10 to 90 degrees two-theta, by angle:
two_theta, I (rel.)
20.88, 13
22.09, 14
29.29, 67
30.41, 48
32.04, 100
41.98, 19
43.47, 18
43.59, 41
44.32, 41
55.07, 13
66.39, 14
70.89, 10

13.
Theoretical powder diffractogram
Compound: MgSb6
Radiation: λ = 1.5418 Å (Cu Kα)
Structure: the GGA-PBE geometry in Alexandria
Kinematic intensities with the Lorentz-polarization factor, no thermal factor.

Cell and atoms:
```
MgSb6
1.0
-4.230 4.230 4.230
4.230 -4.230 4.230
4.230 4.230 -4.230
Mg Sb
1 6
Direct
0.000 0.000 0.000
0.250 0.500 0.750
0.250 0.750 0.500
0.500 0.250 0.750
0.500 0.750 0.250
0.750 0.250 0.500
0.750 0.500 0.250
```

Top 12 peaks for 10 to 90 degrees two-theta, by angle:
two_theta, I (rel.)
14.81, 100
21.00, 35
25.80, 84
29.88, 19
33.50, 28
36.81, 75
39.87, 52
42.76, 42
45.49, 17
55.38, 19
62.07, 27
74.39, 28

14.
Theoretical powder diffractogram
Compound: Mg2Sc3Sb3
Radiation: λ = 1.5418 Å (Cu Kα)
Structure: the GGA-PBE geometry in Alexandria
Kinematic intensities with the Lorentz-polarization factor, no thermal factor.

Cell and atoms:
```
Mg2Sc3Sb3
1.0
8.447 0.000 0.000
-4.223 7.315 0.000
0.000 0.000 5.997
Mg Sc Sb
4 6 6
Direct
0.333 0.667 0.000
0.333 0.667 0.500
0.667 0.333 0.000
0.667 0.333 0.500
0.000 0.244 0.250
0.000 0.756 0.750
0.244 0.000 0.250
0.244 0.244 0.750
0.756 0.000 0.750
0.756 0.756 0.250
0.000 0.391 0.750
0.000 0.609 0.250
0.391 0.000 0.750
0.391 0.391 0.250
0.609 0.000 0.250
0.609 0.609 0.750
```

Top 12 peaks for 10 to 90 degrees two-theta, by angle:
two_theta, I (rel.)
21.03, 39
25.80, 69
29.80, 47
35.76, 100
36.76, 52
36.86, 41
45.54, 18
47.30, 38
48.10, 17
56.84, 25
63.56, 22
71.79, 22